(1)
Calculated powder diffraction line list of Cs2RbCaCl6 for Cu Kα, 1.54184 Å, from DFT lattice parameters and positions (GGA-PBE).
Kinematic intensities with the Lorentz-polarization factor, no thermal factor.

Peak list (6 most intense, 2θ = 10–90°, by angle)
2theta  d_spacing  intensity
21.50  4.132  100
26.42  3.374  48
30.60  2.922  73
37.70  2.386  45
43.82  2.066  50
59.15  1.562  27

Crystal structure
abc: 8.265 8.265 8.265
angles: 60.00 60.00 60.00
Positions (direct):
Cs 0.250 0.250 0.250
Cs 0.750 0.750 0.750
Rb 0.000 0.000 0.000
Ca 0.500 0.500 0.500
Cl 0.269 0.269 0.731
Cl 0.269 0.731 0.269
Cl 0.269 0.731 0.731
Cl 0.731 0.269 0.269
Cl 0.731 0.269 0.731
Cl 0.731 0.731 0.269

---

(2)
Calculated powder diffraction line list of Pm4PrTm3Se8 for Cu Kα, 1.54184 Å, from DFT lattice parameters and positions (GGA-PBE).
Kinematic intensities with the Lorentz-polarization factor, no thermal factor.

Peak list (6 most intense, 2θ = 10–90°, by angle)
2theta  d_spacing  intensity
30.53  2.928  100
43.43  2.084  37
44.00  2.058  37
54.49  1.684  19
71.71  1.316  16
72.53  1.303  16

Crystal structure
abc: 8.336 8.336 8.336
angles: 59.18 59.18 59.18
Positions (direct):
Pm 0.000 0.000 0.000
Pm 0.000 0.500 0.500
Pm 0.500 0.000 0.500
Pm 0.500 0.500 0.000
Pr 0.500 0.500 0.500
Tm 0.000 0.000 0.500
Tm 0.000 0.500 0.000
Tm 0.500 0.000 0.000
Se 0.236 0.752 0.752
Se 0.244 0.244 0.244
Se 0.248 0.248 0.764
Se 0.248 0.764 0.248
Se 0.752 0.236 0.752
Se 0.752 0.752 0.236
Se 0.756 0.756 0.756
Se 0.764 0.248 0.248